1.
Starting from DFT lattice parameters and positions (GGA-PBE), the powder XRD pattern of Mg14VBi was calculated for CuKα.
No peak broadening, texture or thermal motion is included.

abc: 6.3299 6.3299 10.4246
angles: 90.00 90.00 120.00
Space group P-6m2 (No. 187)
Inequivalent atoms, fractional coordinates:
Mg (0.0000, 0.0000, 0.2497) (multiplicity 2)
Mg (0.0019, 0.5010, 0.2404) (multiplicity 6)
Mg (0.3322, 0.1661, 0.5000) (multiplicity 3)
Mg (0.3332, 0.1666, 0.0000) (multiplicity 3)
V (0.3333, 0.6667, 0.0000) (multiplicity 1)
Bi (0.3333, 0.6667, 0.5000) (multiplicity 1)

Main lines, in order of rising 2θ (10 to 80 degrees two-theta):
2theta, Rel. int.
16.17, 54
17.01, 16
18.28, 44
23.55, 45
32.67, 30
33.11, 19
34.41, 26
37.06, 100
48.18, 20
58.31, 17
63.38, 20
69.49, 19



2.
Starting from DFT lattice parameters and positions (GGA-PBE), the powder XRD pattern of Mg14VBi was calculated for CuKα.
No peak broadening, texture or thermal motion is included.

abc: 10.3651 6.3248 11.0702
angles: 90.00 90.00 90.00
Space group Amm2 (No. 38)
Inequivalent atoms, fractional coordinates:
Mg (0.0000, 0.0000, 0.9998) (multiplicity 2)
Mg (0.0000, 0.0000, 0.5000) (multiplicity 2)
Mg (0.0000, 0.2503, 0.2499) (multiplicity 4)
Mg (0.2458, 0.0000, 0.1684) (multiplicity 4)
Mg (0.2492, 0.2441, 0.4165) (multiplicity 8)
Mg (0.2516, 0.0000, 0.6643) (multiplicity 4)
Mg (0.5000, 0.2490, 0.7494) (multiplicity 4)
V (0.5000, 0.0000, 0.4998) (multiplicity 2)
Bi (0.5000, 0.0000, 0.0012) (multiplicity 2)

Main lines, in order of rising 2θ (10 to 80 degrees two-theta):
2theta, Rel. int.
16.01, 27
16.14, 28
17.11, 23
18.17, 41
18.28, 44
23.56, 49
30.54, 26
32.61, 31
34.62, 39
36.82, 52
37.05, 100
38.40, 21